# CoH2O2
Computed powder XRD pattern, λ = 1.5418 Å (Cu Kα). Input: a DFT-relaxed cell (PBE+U, OQMD).
Neutral-atom scattering factors, no anomalous dispersion.

Top 10 peaks for 5 to 70 degrees two-theta, most intense first:
25.31°, d = 3.519 Å, intensity 100, hkl 1 1 0
49.80°, d = 1.831 Å, intensity 50, hkl 1 2 1
33.80°, d = 2.652 Å, intensity 45, hkl 0 1 1
51.26°, d = 1.782 Å, intensity 28, hkl 2 1 1
34.48°, d = 2.601 Å, intensity 17, hkl 1 0 1
51.98°, d = 1.759 Å, intensity 16, hkl 2 2 0
37.36°, d = 2.407 Å, intensity 14, hkl 2 0 0
66.01°, d = 1.415 Å, intensity 12, hkl 1 1 2
65.54°, d = 1.424 Å, intensity 11, hkl 3 0 1
38.77°, d = 2.323 Å, intensity 11, hkl 1 1 1

Structural model:
```
data_CoH2O2
_symmetry_space_group_name_H-M 'P n n m'
_symmetry_Int_Tables_number 58
_cell_length_a 4.814
_cell_length_b 5.156
_cell_length_c 3.092
_cell_angle_alpha 90.00
_cell_angle_beta 90.00
_cell_angle_gamma 90.00
loop_
_symmetry_equiv_pos_as_xyz
'x,y,z'
'-x,-y,-z'
'-x,-y,z'
'x,y,-z'
'x+1/2,-y+1/2,-z+1/2'
'-x+1/2,y+1/2,z+1/2'
'-x+1/2,y+1/2,-z+1/2'
'x+1/2,-y+1/2,z+1/2'
loop_
_atom_site_label
_atom_site_type_symbol
_atom_site_fract_x
_atom_site_fract_y
_atom_site_fract_z
_atom_site_occupancy
Co1 Co 0.000 0.000 0.000 1
H1 H 0.026 0.338 0.500 1
O1 O 0.147 0.762 0.500 1
```